The following is a calculated X-ray diffraction stick pattern of Li6Mn3CrP6O24. It was derived from a cell relaxed with GGA+U, using Cu Kα, 1.54184 Å.

Atomic structure:
Cell: 8.502 8.598 8.773 Å, 60.76 61.78 61.41°
Space group P1 (No. 1)
Symmetry-distinct sites (fractional):
Li1 0.000 0.000 0.000
Li2 0.088 0.505 0.902
Li3 0.347 0.145 0.730
Li4 0.499 0.901 0.100
Li5 0.680 0.323 0.505
Li6 0.851 0.658 0.274
Mn1 0.195 0.020 0.609
Mn2 0.695 0.510 0.105
Mn3 0.980 0.803 0.399
Cr1 0.486 0.307 0.897
P1 0.087 0.199 0.208
P2 0.296 0.703 0.003
P3 0.376 0.626 0.507
P4 0.588 0.112 0.301
P5 0.799 0.914 0.799
P6 0.893 0.411 0.700
O1 0.047 0.035 0.222
O2 0.080 0.238 0.693
O3 0.101 0.723 0.153
O4 0.118 0.170 0.377
O5 0.214 0.653 0.456
O6 0.251 0.228 0.023
O7 0.280 0.899 0.851
O8 0.333 0.545 0.943
O9 0.340 0.790 0.558
O10 0.397 0.432 0.671
O11 0.430 0.091 0.486
O12 0.457 0.668 0.066
O13 0.538 0.145 0.138
O14 0.569 0.603 0.352
O15 0.603 0.074 0.827
O16 0.641 0.275 0.274
O17 0.728 0.357 0.735
O18 0.762 0.928 0.305
O19 0.776 0.745 0.986
O20 0.833 0.882 0.630
O21 0.873 0.461 0.856
O22 0.907 0.574 0.513
O23 0.923 0.394 0.179
O24 0.960 0.958 0.788

The 10 most intense peaks (2θ from 10° to 90°), most intense first:
- 24.2°, 3.684 Å, rel. 100
- 20.3°, 4.384 Å, rel. 77
- 23.4°, 3.802 Å, rel. 57
- 20.9°, 4.250 Å, rel. 51
- 23.8°, 3.745 Å, rel. 51
- 20.7°, 4.297 Å, rel. 50
- 23.9°, 3.728 Å, rel. 48
- 24.2°, 3.670 Å, rel. 46
- 32.6°, 2.749 Å, rel. 40
- 14.5°, 6.105 Å, rel. 39